# 1
Y7Tl2Zn2: calculated powder diffraction line list (Cu Kα (λ = 1.5418 Å)), based on a structure optimized by DFT (PBE).

Principal peaks in the range 10° ≤ 2θ ≤ 90°, most intense first:
| d/Å | 2θ (°) | Rel. int. |
| --- | --- | --- |
| 2.436 | 36.90 | 100 |
| 2.803 | 31.92 | 65 |
| 3.461 | 25.74 | 61 |
| 3.238 | 27.55 | 46 |
| 4.492 | 19.76 | 44 |
| 2.508 | 35.80 | 40 |
| 3.119 | 28.62 | 39 |
| 2.178 | 41.45 | 28 |
| 2.053 | 44.11 | 24 |
| 2.285 | 39.43 | 24 |
| 2.400 | 37.47 | 23 |
| 1.538 | 60.18 | 20 |

Structural model:
Cell lengths 6.8298, 6.8298, 7.5070 Å; angles 90.00, 90.00, 110.35 degrees
Sites, in units of the cell vectors:
Y 0.0000 0.0000 0.0000
Y 0.0000 0.5000 0.2731
Y 0.0000 0.5000 0.7269
Y 0.5000 0.0000 0.2731
Y 0.5000 0.0000 0.7269
Y 0.5000 0.5000 0.2364
Y 0.5000 0.5000 0.7636
Tl 0.1874 0.1874 0.5000
Tl 0.8126 0.8126 0.5000
Zn 0.2869 0.7131 0.0000
Zn 0.7131 0.2869 0.0000

# 2
RbBaBe3: calculated powder diffraction line list (Cu Kα (λ = 1.5418 Å)), based on a structure optimized by DFT (PBE).

Principal peaks in the range 10° ≤ 2θ ≤ 90°, most intense first:
| d/Å | 2θ (°) | Rel. int. |
| --- | --- | --- |
| 4.264 | 20.83 | 100 |
| 2.462 | 36.50 | 48 |
| 3.015 | 29.63 | 26 |
| 1.611 | 57.16 | 26 |
| 1.907 | 47.70 | 22 |
| 2.132 | 42.40 | 19 |
| 1.182 | 81.38 | 14 |
| 1.421 | 65.70 | 13 |
| 1.348 | 69.75 | 9 |
| 1.101 | 88.90 | 8 |
| 6.030 | 14.69 | 7 |
| 1.741 | 52.58 | 7 |

Structural model:
Cell lengths 6.0296, 6.0296, 6.0296 Å; angles 90.00, 90.00, 90.00 degrees
Sites, in units of the cell vectors:
Rb 0.0000 0.0000 0.0000
Ba 0.5000 0.5000 0.5000
Be 0.0000 0.5000 0.5000
Be 0.5000 0.0000 0.5000
Be 0.5000 0.5000 0.0000

# 3
La10CePm4: calculated powder diffraction line list (Cu Kα (λ = 1.5418 Å)), based on a structure optimized by DFT (PBE).

Principal peaks in the range 10° ≤ 2θ ≤ 90°, most intense first:
| d/Å | 2θ (°) | Rel. int. |
| --- | --- | --- |
| 3.179 | 28.07 | 100 |
| 3.160 | 28.24 | 84 |
| 3.342 | 26.67 | 79 |
| 2.717 | 32.97 | 74 |
| 2.778 | 32.22 | 64 |
| 1.579 | 58.45 | 33 |
| 2.060 | 43.95 | 31 |
| 2.184 | 41.35 | 28 |
| 2.682 | 33.41 | 28 |
| 2.348 | 38.34 | 23 |
| 2.234 | 40.37 | 22 |
| 1.711 | 53.56 | 20 |

Structural model:
Cell lengths 8.8443, 8.8443, 8.8443 Å; angles 111.21, 111.21, 106.05 degrees
Sites, in units of the cell vectors:
La 0.0395 0.3590 0.0846
La 0.0450 0.9605 0.3194
La 0.2500 0.7500 0.5000
La 0.2744 0.9550 0.9154
La 0.3590 0.2744 0.3194
La 0.6410 0.7256 0.6806
La 0.7256 0.0450 0.0846
La 0.7500 0.2500 0.5000
La 0.9550 0.0395 0.6806
La 0.9605 0.6410 0.9154
Ce 0.5000 0.5000 0.0000
Pm 0.1794 0.4520 0.6314
Pm 0.4520 0.8206 0.2726
Pm 0.5480 0.1794 0.7274
Pm 0.8206 0.5480 0.3686

# 4
ErTc2O8: calculated powder diffraction line list (Cu Kα (λ = 1.5418 Å)), based on a structure optimized by DFT (PBE).

Principal peaks in the range 10° ≤ 2θ ≤ 90°, most intense first:
| d/Å | 2θ (°) | Rel. int. |
| --- | --- | --- |
| 3.348 | 26.62 | 100 |
| 5.467 | 16.21 | 62 |
| 1.933 | 47.01 | 39 |
| 2.173 | 41.57 | 23 |
| 1.265 | 75.06 | 21 |
| 1.674 | 54.84 | 20 |
| 1.497 | 61.98 | 16 |
| 2.855 | 31.33 | 13 |
| 1.116 | 87.38 | 11 |
| 1.601 | 57.58 | 11 |
| 2.367 | 38.01 | 9 |
| 1.822 | 50.05 | 7 |

Structural model:
Cell lengths 6.6961, 6.6961, 6.6961 Å; angles 60.00, 60.00, 60.00 degrees
Sites, in units of the cell vectors:
Er 0.0000 0.0000 0.0000
Tc 0.2500 0.2500 0.2500
Tc 0.7500 0.7500 0.7500
O 0.1429 0.1429 0.1429
O 0.1429 0.1429 0.5712
O 0.1429 0.5712 0.1429
O 0.4288 0.8571 0.8571
O 0.5712 0.1429 0.1429
O 0.8571 0.4288 0.8571
O 0.8571 0.8571 0.4288
O 0.8571 0.8571 0.8571

# 5
Nb2Mo5W2: calculated powder diffraction line list (Cu Kα (λ = 1.5418 Å)), based on a structure optimized by DFT (PBE).

Principal peaks in the range 10° ≤ 2θ ≤ 90°, most intense first:
| d/Å | 2θ (°) | Rel. int. |
| --- | --- | --- |
| 2.273 | 39.65 | 100 |
| 2.155 | 41.92 | 87 |
| 2.211 | 40.81 | 86 |
| 2.348 | 38.34 | 71 |
| 2.124 | 42.57 | 48 |
| 2.495 | 35.99 | 46 |
| 2.257 | 39.95 | 42 |
| 2.309 | 39.01 | 40 |
| 2.106 | 42.94 | 35 |
| 2.327 | 38.70 | 34 |
| 2.322 | 38.79 | 31 |
| 1.963 | 46.24 | 28 |

Structural model:
Cell lengths 5.1642, 7.2671, 9.1843 Å; angles 111.91, 94.55, 103.48 degrees
Sites, in units of the cell vectors:
Nb 0.0000 0.0000 0.0000
Nb 0.1522 0.4782 0.1997
Nb 0.5643 0.0210 0.4826
Nb 0.7167 0.5016 0.6821
Mo 0.0321 0.9087 0.3396
Mo 0.2304 0.6458 0.5307
Mo 0.3298 0.0548 0.7372
Mo 0.3580 0.2506 0.3416
Mo 0.3950 0.4507 0.9472
Mo 0.4882 0.8554 0.1516
Mo 0.8070 0.8569 0.6538
Mo 0.8580 0.2508 0.3420
Mo 0.8621 0.2532 0.8421
Mo 0.9186 0.6483 0.0335
W 0.1393 0.2832 0.6111
W 0.3588 0.7514 0.8407
W 0.5789 0.2193 0.0725
W 0.6887 0.5956 0.3456

# 6
Re3Mo2W6: calculated powder diffraction line list (Cu Kα (λ = 1.5418 Å)), based on a structure optimized by DFT (PBE).

Principal peaks in the range 10° ≤ 2θ ≤ 90°, most intense first:
| d/Å | 2θ (°) | Rel. int. |
| --- | --- | --- |
| 2.161 | 41.79 | 100 |
| 2.265 | 39.80 | 33 |
| 2.363 | 38.08 | 27 |
| 2.193 | 41.17 | 22 |
| 1.322 | 71.34 | 20 |
| 2.211 | 40.82 | 16 |
| 1.635 | 56.26 | 15 |
| 1.287 | 73.61 | 14 |
| 6.253 | 14.16 | 12 |
| 3.008 | 29.70 | 12 |
| 2.459 | 36.53 | 9 |
| 1.418 | 65.85 | 9 |

Structural model:
Cell lengths 6.6908, 6.6908, 6.6908 Å; angles 138.63, 99.56, 94.78 degrees
Sites, in units of the cell vectors:
Re 0.0000 0.0000 0.0000
Re 0.1890 0.5000 0.6890
Re 0.8110 0.5000 0.3110
Mo 0.5000 0.2507 0.7507
Mo 0.5000 0.7493 0.2493
W 0.0663 0.2368 0.8295
W 0.2223 0.7223 0.5000
W 0.4073 0.2368 0.1705
W 0.5927 0.7632 0.8295
W 0.7777 0.2777 0.5000
W 0.9337 0.7632 0.1705

# 7
Rb2ScCl7: calculated powder diffraction line list (Cu Kα (λ = 1.5418 Å)), based on a structure optimized by DFT (PBE).

Principal peaks in the range 10° ≤ 2θ ≤ 90°, most intense first:
| d/Å | 2θ (°) | Rel. int. |
| --- | --- | --- |
| 2.917 | 30.65 | 100 |
| 3.055 | 29.23 | 100 |
| 3.586 | 24.83 | 64 |
| 4.125 | 21.54 | 48 |
| 1.793 | 50.93 | 41 |
| 2.063 | 43.90 | 30 |
| 2.273 | 39.64 | 26 |
| 2.263 | 39.84 | 26 |
| 1.709 | 53.61 | 22 |
| 1.528 | 60.62 | 21 |
| 1.845 | 49.40 | 16 |
| 1.788 | 51.08 | 13 |

Structural model:
Cell lengths 7.3966, 7.3966, 7.3966 Å; angles 112.20, 112.20, 104.13 degrees
Sites, in units of the cell vectors:
Rb 0.2500 0.7500 0.5000
Rb 0.7500 0.2500 0.5000
Sc 0.0000 0.0000 0.0000
Cl 0.2127 0.2127 0.4254
Cl 0.2127 0.7873 0.0000
Cl 0.2633 0.2633 0.0000
Cl 0.5000 0.5000 0.0000
Cl 0.7367 0.7367 0.0000
Cl 0.7873 0.2127 0.0000
Cl 0.7873 0.7873 0.5746

# 8
Ac7La2Sm2: calculated powder diffraction line list (Cu Kα (λ = 1.5418 Å)), based on a structure optimized by DFT (PBE).

Principal peaks in the range 10° ≤ 2θ ≤ 90°, most intense first:
| d/Å | 2θ (°) | Rel. int. |
| --- | --- | --- |
| 3.044 | 29.34 | 100 |
| 3.022 | 29.56 | 38 |
| 3.254 | 27.41 | 31 |
| 1.749 | 52.30 | 21 |
| 2.978 | 30.00 | 18 |
| 2.943 | 30.37 | 16 |
| 1.595 | 57.82 | 14 |
| 1.604 | 57.46 | 13 |
| 2.109 | 42.89 | 13 |
| 2.852 | 31.36 | 13 |
| 1.892 | 48.09 | 11 |
| 2.074 | 43.64 | 10 |

Structural model:
Cell lengths 10.1207, 10.1207, 10.1207 Å; angles 145.25, 64.57, 127.43 degrees
Sites, in units of the cell vectors:
Ac 0.0000 0.0000 0.0000
Ac 0.1661 0.3249 0.8412
Ac 0.1778 0.5391 0.6387
Ac 0.4837 0.3249 0.1588
Ac 0.4959 0.1251 0.3708
Ac 0.7543 0.1251 0.6292
Ac 0.9005 0.5391 0.3613
La 0.0322 0.8322 0.2001
La 0.6321 0.8322 0.7999
Sm 0.3244 0.8244 0.5000
Sm 0.5937 0.5937 0.0000

# 9
Sm5Tm2Sn4: calculated powder diffraction line list (Cu Kα (λ = 1.5418 Å)), based on a structure optimized by DFT (PBE).

Principal peaks in the range 10° ≤ 2θ ≤ 90°, most intense first:
| d/Å | 2θ (°) | Rel. int. |
| --- | --- | --- |
| 2.874 | 31.11 | 100 |
| 2.691 | 33.30 | 60 |
| 2.296 | 39.24 | 50 |
| 2.470 | 36.38 | 41 |
| 3.442 | 25.88 | 32 |
| 2.636 | 34.01 | 31 |
| 3.792 | 23.46 | 20 |
| 1.454 | 64.02 | 18 |
| 2.672 | 33.54 | 18 |
| 1.587 | 58.14 | 17 |
| 2.120 | 42.65 | 17 |
| 1.468 | 63.36 | 17 |

Structural model:
Cell lengths 18.9705, 18.9705, 5.3816 Å; angles 98.09, 98.09, 10.46 degrees
Sites, in units of the cell vectors:
Sm 0.0000 0.0000 0.0000
Sm 0.2933 0.2933 0.7955
Sm 0.3634 0.3634 0.3653
Sm 0.6366 0.6366 0.6347
Sm 0.7067 0.7067 0.2045
Tm 0.4179 0.4179 0.9190
Tm 0.5821 0.5821 0.0810
Sn 0.2090 0.2090 0.7068
Sn 0.4567 0.4567 0.4572
Sn 0.5433 0.5433 0.5428
Sn 0.7910 0.7910 0.2932

# 10
BaCaPa2O7: calculated powder diffraction line list (Cu Kα (λ = 1.5418 Å)), based on a structure optimized by DFT (PBE).

Principal peaks in the range 10° ≤ 2θ ≤ 90°, most intense first:
| d/Å | 2θ (°) | Rel. int. |
| --- | --- | --- |
| 3.002 | 29.77 | 100 |
| 3.700 | 24.05 | 83 |
| 3.110 | 28.71 | 57 |
| 4.300 | 20.65 | 57 |
| 1.774 | 51.52 | 46 |
| 2.199 | 41.05 | 44 |
| 2.024 | 44.78 | 26 |
| 1.890 | 48.14 | 26 |
| 5.133 | 17.27 | 23 |
| 1.714 | 53.48 | 22 |
| 2.976 | 30.03 | 19 |
| 1.980 | 45.84 | 19 |

Structural model:
Cell lengths 10.7274, 10.7274, 10.7274 Å; angles 156.34, 156.34, 33.70 degrees
Sites, in units of the cell vectors:
Ba 0.0000 0.0000 0.0000
Ca 0.7500 0.2500 0.5000
Pa 0.3904 0.3904 0.0000
Pa 0.6096 0.6096 0.0000
O 0.0903 0.5903 0.5000
O 0.2906 0.2906 0.0000
O 0.4097 0.9097 0.5000
O 0.5000 0.5000 0.0000
O 0.6093 0.1093 0.5000
O 0.7094 0.7094 0.0000
O 0.8907 0.3907 0.5000

# 11
Tb2Y4Mg: calculated powder diffraction line list (Cu Kα (λ = 1.5418 Å)), based on a structure optimized by DFT (PBE).

Principal peaks in the range 10° ≤ 2θ ≤ 90°, most intense first:
| d/Å | 2θ (°) | Rel. int. |
| --- | --- | --- |
| 2.793 | 32.05 | 100 |
| 2.880 | 31.06 | 92 |
| 5.582 | 15.88 | 48 |
| 2.994 | 29.84 | 41 |
| 2.376 | 37.87 | 22 |
| 1.833 | 49.74 | 16 |
| 1.628 | 56.53 | 16 |
| 1.503 | 61.74 | 14 |
| 1.725 | 53.08 | 14 |
| 2.509 | 35.79 | 13 |
| 2.148 | 42.07 | 13 |
| 2.185 | 41.32 | 12 |

Structural model:
Cell lengths 12.0753, 12.0753, 6.7258 Å; angles 90.00, 90.00, 112.41 degrees
Sites, in units of the cell vectors:
Tb 0.0000 0.0000 0.2500
Tb 0.0000 0.0000 0.7500
Tb 0.0006 0.5006 0.7500
Tb 0.4994 0.9994 0.7500
Tb 0.5000 0.5000 0.2500
Tb 0.5000 0.5000 0.7500
Tb 0.5006 0.0006 0.2500
Tb 0.9994 0.4994 0.2500
Y 0.0536 0.2927 0.5014
Y 0.0995 0.7691 0.0003
Y 0.2073 0.4464 0.0014
Y 0.2309 0.9005 0.4997
Y 0.2691 0.5995 0.4997
Y 0.2927 0.0536 0.0014
Y 0.4005 0.7309 0.0003
Y 0.4464 0.2073 0.5014
Y 0.5536 0.7927 0.4986
Y 0.5995 0.2691 0.9997
Y 0.7073 0.9464 0.9986
Y 0.7309 0.4005 0.5003
Y 0.7691 0.0995 0.5003
Y 0.7927 0.5536 0.9986
Y 0.9005 0.2309 0.9997
Y 0.9464 0.7073 0.4986
Mg 0.2500 0.2500 0.2523
Mg 0.2500 0.2500 0.7523
Mg 0.7500 0.7500 0.2477
Mg 0.7500 0.7500 0.7477

# 12
Li2Ni3Cl8: calculated powder diffraction line list (Cu Kα (λ = 1.5418 Å)), based on a structure optimized by DFT (PBE).

Principal peaks in the range 10° ≤ 2θ ≤ 90°, most intense first:
| d/Å | 2θ (°) | Rel. int. |
| --- | --- | --- |
| 5.861 | 15.12 | 100 |
| 2.531 | 35.47 | 97 |
| 1.801 | 50.70 | 62 |
| 2.562 | 35.02 | 48 |
| 5.435 | 16.31 | 39 |
| 3.059 | 29.19 | 29 |
| 7.144 | 12.39 | 20 |
| 1.793 | 50.92 | 17 |
| 1.948 | 46.63 | 16 |
| 1.134 | 85.63 | 16 |
| 1.786 | 51.14 | 15 |
| 1.469 | 63.30 | 14 |

Structural model:
Cell lengths 7.9942, 7.9942, 10.2490 Å; angles 90.00, 90.00, 126.68 degrees
Sites, in units of the cell vectors:
Li 0.1375 0.8625 0.8895
Li 0.3625 0.6375 0.3895
Li 0.6375 0.3625 0.6105
Li 0.8625 0.1375 0.1105
Ni 0.0000 0.0000 0.5000
Ni 0.1262 0.3738 0.7500
Ni 0.3738 0.1262 0.2500
Ni 0.5000 0.5000 0.0000
Ni 0.6262 0.8738 0.7500
Ni 0.8738 0.6262 0.2500
Cl 0.0034 0.9966 0.2604
Cl 0.1133 0.3492 0.5189
Cl 0.1508 0.3867 0.9811
Cl 0.2338 0.7662 0.2387
Cl 0.2662 0.7338 0.7387
Cl 0.3492 0.1133 0.4811
Cl 0.3867 0.1508 0.0189
Cl 0.4966 0.5034 0.7604
Cl 0.5034 0.4966 0.2396
Cl 0.6133 0.8492 0.9811
Cl 0.6508 0.8867 0.5189
Cl 0.7338 0.2662 0.2613
Cl 0.7662 0.2338 0.7613
Cl 0.8492 0.6133 0.0189
Cl 0.8867 0.6508 0.4811
Cl 0.9966 0.0034 0.7396